Entry 1:
For NpPO4F2, a DFT-relaxed cell (GGA-PBE, Alexandria) gives the computed XRD peak list in this record (Cu Kα X-rays).

Crystal structure
a b c (Å): 5.6481 6.9345 7.2485
angles (deg): 90.00 90.00 90.00
Space group Pmmn (No. 59, origin choice 2)
Unique sites:
Np  0.2500  0.2500  0.2330 (multiplicity 2)
P  0.2500  0.7500  0.0964 (multiplicity 2)
O  0.0249  0.7500  0.9717 (multiplicity 4)
O  0.2500  0.5673  0.2157 (multiplicity 4)
F  0.0001  0.2500  0.4320 (multiplicity 4)

Largest 8 diffraction maxima, low angle first, 2θ from 10° to 90°:
- d 5.011, rel. 78, (0 1 1)
- d 4.455, rel. 100, (1 0 1)
- d 4.379, rel. 37, (1 1 0)
- d 3.467, rel. 34, (0 2 0)
- d 2.792, rel. 41, (1 1 2)
- d 2.736, rel. 37, (1 2 1)
- d 2.228, rel. 18, (2 0 2)
- d 1.614, rel. 18, (1 4 1)



Entry 2:
For K4PmTc3O12, a DFT-relaxed cell (GGA-PBE, Alexandria) gives the computed XRD peak list in this record (Cu Kα X-rays).

Crystal structure
a b c (Å): 8.1829 8.1829 8.1829
angles (deg): 90.00 90.00 90.00
Space group Im-3m (No. 229)
Unique sites:
K  0.2500  0.2500  0.2500 (multiplicity 8)
Pm  0.0000  0.0000  0.0000 (multiplicity 2)
Tc  0.0000  0.0000  0.5000 (multiplicity 6)
O  0.0000  0.0000  0.2740 (multiplicity 12)
O  0.0000  0.2500  0.5000 (multiplicity 12)

Largest 8 diffraction maxima, low angle first, 2θ from 10° to 90°:
- d 4.091, rel. 51, (2 0 0)
- d 2.893, rel. 100, (2 2 0)
- d 2.046, rel. 38, (4 0 0)
- d 1.830, rel. 21, (4 2 0)
- d 1.670, rel. 37, (4 2 2)
- d 1.447, rel. 22, (4 4 0)
- d 1.294, rel. 17, (6 2 0)
- d 1.093, rel. 20, (6 4 2)



Entry 3:
For CdInCu3Se4, a DFT-relaxed cell (GGA-PBE, Alexandria) gives the computed XRD peak list in this record (Cu Kα X-rays).

Crystal structure
a b c (Å): 6.0141 6.0141 6.0141
angles (deg): 90.00 90.00 90.00
Space group P-43m (No. 215)
Unique sites:
Cd  0.0000  0.0000  0.0000 (multiplicity 1)
In  0.5000  0.5000  0.5000 (multiplicity 1)
Cu  0.0000  0.5000  0.5000 (multiplicity 3)
Se  0.2521  0.2521  0.7479 (multiplicity 4)

Largest 8 diffraction maxima, low angle first, 2θ from 10° to 90°:
- d 4.253, rel. 30, (1 1 0)
- d 3.472, rel. 66, (1 1 1)
- d 2.455, rel. 14, (2 1 1)
- d 2.126, rel. 100, (2 2 0)
- d 1.813, rel. 30, (3 1 1)
- d 1.504, rel. 16, (4 0 0)
- d 1.380, rel. 12, (3 3 1)
- d 1.228, rel. 32, (4 2 2)



Entry 4:
For MgNi4H4, a DFT-relaxed cell (GGA-PBE, Alexandria) gives the computed XRD peak list in this record (Cu Kα X-rays).

Crystal structure
a b c (Å): 6.2509 6.2509 3.5274
angles (deg): 90.00 90.00 90.00
Space group I4/m (No. 87)
Unique sites:
Mg  0.0000  0.0000  0.0000 (multiplicity 2)
Ni  0.1081  0.6903  0.5000 (multiplicity 8)
H  0.1514  0.6679  0.0000 (multiplicity 8)

Largest 8 diffraction maxima, low angle first, 2θ from 10° to 90°:
- d 4.420, rel. 10, (1 1 0)
- d 2.191, rel. 100, (1 2 1)
- d 1.977, rel. 36, (3 1 0)
- d 1.764, rel. 13, (0 0 2)
- d 1.398, rel. 10, (2 4 0)
- d 1.316, rel. 17, (3 1 2)
- d 1.178, rel. 22, (5 0 1)
- d 1.095, rel. 9, (2 4 2)



Entry 5:
For Th3US4, a DFT-relaxed cell (GGA-PBE, Alexandria) gives the computed XRD peak list in this record (Cu Kα X-rays).

Crystal structure
a b c (Å): 6.9342 8.1289 6.8834
angles (deg): 90.00 110.21 90.00
Space group P2/c (No. 13)
Unique sites:
Th  0.0000  0.1237  0.2500 (multiplicity 2)
Th  0.0000  0.3739  0.7500 (multiplicity 2)
Th  0.5000  0.3735  0.2500 (multiplicity 2)
U  0.5000  0.1228  0.7500 (multiplicity 2)
S  0.2541  0.3711  0.5041 (multiplicity 4)
S  0.2580  0.1210  0.9996 (multiplicity 4)

Largest 8 diffraction maxima, low angle first, 2θ from 10° to 90°:
- d 3.303, rel. 53, (1 2 -1)
- d 3.254, rel. 26, (2 0 0)
- d 3.230, rel. 25, (0 0 2)
- d 2.833, rel. 100, (1 2 1)
- d 2.009, rel. 25, (3 2 -1)
- d 1.998, rel. 25, (1 2 -3)
- d 1.699, rel. 13, (3 2 1)
- d 1.651, rel. 14, (2 4 -2)



Entry 6:
For SnBiTePb, a DFT-relaxed cell (GGA-PBE, Alexandria) gives the computed XRD peak list in this record (Cu Kα X-rays).

Crystal structure
a b c (Å): 4.4608 4.5629 8.0928
angles (deg): 88.17 74.13 61.06
Space group P1 (No. 1)
Unique sites:
Sn  0.0000  0.0000  0.0000 (multiplicity 1)
Bi  0.4458  0.3121  0.7967 (multiplicity 1)
Te  0.4373  0.8494  0.2771 (multiplicity 1)
Pb  0.9752  0.5423  0.5081 (multiplicity 1)

Largest 8 diffraction maxima, low angle first, 2θ from 10° to 90°:
- d 3.369, rel. 54, (0 1 1)
- d 3.194, rel. 100, (1 0 2)
- d 2.359, rel. 20, (1 0 -2)
- d 2.349, rel. 20, (1 1 3)
- d 2.289, rel. 39, (1 -1 1)
- d 2.278, rel. 19, (1 2 0)
- d 2.230, rel. 19, (2 1 1)
- d 1.855, rel. 20, (2 2 2)



Entry 7:
For Na3Pr2PaSe6, a DFT-relaxed cell (GGA-PBE, Alexandria) gives the computed XRD peak list in this record (Cu Kα X-rays).

Crystal structure
a b c (Å): 7.3455 12.7218 7.4721
angles (deg): 90.00 109.19 90.00
Space group C2/m (No. 12)
Unique sites:
Na  0.0000  0.0000  0.0000 (multiplicity 2)
Na  0.0000  0.3306  0.0000 (multiplicity 4)
Pr  0.0000  0.1665  0.5000 (multiplicity 4)
Pa  0.0000  0.5000  0.5000 (multiplicity 2)
Se  0.2405  0.3393  0.7393 (multiplicity 8)
Se  0.2413  0.5000  0.2623 (multiplicity 4)

Largest 8 diffraction maxima, low angle first, 2θ from 10° to 90°:
- d 7.057, rel. 48, (0 0 1)
- d 3.619, rel. 25, (1 3 0)
- d 3.017, rel. 100, (1 3 1)
- d 2.147, rel. 38, (2 0 2)
- d 2.120, rel. 37, (0 6 0)
- d 1.735, rel. 19, (4 0 0)
- d 1.356, rel. 17, (3 3 3)
- d 1.343, rel. 16, (4 6 0)



Q: Which formula does entry 6 have?
A: SnBiTePb